For WAuS2F, a DFT-relaxed cell (GGA+U, Alexandria) gives the computed powder diffraction line list in this record (CuKα).

Main lines, in order of rising 2θ (2θ = 15–90°):
21.46°, 4.140 Å, rel. 36; 26.28°, 3.391 Å, rel. 59; 34.18°, 2.624 Å, rel. 100; 37.50°, 2.398 Å, rel. 46; 58.91°, 1.568 Å, rel. 35; 65.55°, 1.424 Å, rel. 31

Structure:
```
WAuS2F
1.0
4.7961 0.0000 0.0000
0.0000 4.7961 0.0000
0.0000 0.0000 4.1405
W Au S F
1 1 2 1
Cartesian
0.0000 0.0000 0.0000 W
2.3980 2.3980 0.0000 Au
0.0000 2.3980 2.0702 S
2.3980 0.0000 2.0702 S
2.3980 2.3980 2.0702 F
```